No. 1
VMo2S4: calculated powder X-ray diffraction pattern (Cu Kα X-rays), based on a DFT-relaxed cell (PBE, the Materials Project).

Peak list (10 most intense, 10 to 80 degrees two-theta, by angle)
2θ 15.19, I = 100, hkl 2 0 0
2θ 16.99, I = 40, hkl 2 0 -1
2θ 31.44, I = 51, hkl 1 1 -1
2θ 34.37, I = 38, hkl 4 0 -2
2θ 34.65, I = 81, hkl 1 1 1
2θ 42.11, I = 25, hkl 3 1 -2
2θ 43.75, I = 50, hkl 3 1 1
2θ 45.21, I = 69, hkl 5 1 -1
2θ 46.37, I = 41, hkl 4 0 -3
2θ 53.73, I = 28, hkl 3 1 -3

Atomic structure:
```
data_VMo2S4
_cell_length_a 12.802
_cell_length_b 3.227
_cell_length_c 6.042
_cell_angle_alpha 90.00
_cell_angle_beta 114.32
_cell_angle_gamma 90.00
_symmetry_space_group_name_H-M 'C 1 2/m 1'
_symmetry_Int_Tables_number 12
_symmetry_space_group_name_Hall '-C 2y'
loop_
_atom_site_label
_atom_site_type_symbol
_atom_site_fract_x
_atom_site_fract_y
_atom_site_fract_z
_atom_site_occupancy
V1 V 0.000 0.000 0.000 1
Mo1 Mo 0.241 0.500 0.685 1
S1 S 0.105 0.000 0.440 1
S2 S 0.136 0.500 0.972 1
```



No. 2
MoW3S8: calculated powder X-ray diffraction pattern (Cu Kα X-rays), based on a DFT-relaxed cell (PBE, the Materials Project).

Peak list (10 most intense, 10 to 80 degrees two-theta, by angle)
2θ 12.35, I = 100, hkl 0 0 5
2θ 14.83, I = 24, hkl 0 0 6
2θ 32.42, I = 22, hkl 1 0 0
2θ 32.79, I = 10, hkl 0 1 2
2θ 33.28, I = 19, hkl 1 0 3
2θ 34.79, I = 15, hkl 1 0 5
2θ 38.26, I = 47, hkl 1 0 8
2θ 46.53, I = 27, hkl 0 1 13
2θ 57.79, I = 13, hkl 1 1 0
2θ 59.33, I = 16, hkl 1 1 5

Atomic structure:
```
data_MoW3S8
_cell_length_a 3.1911
_cell_length_b 3.1911
_cell_length_c 35.8451
_cell_angle_alpha 90.00
_cell_angle_beta 90.00
_cell_angle_gamma 120.00
_symmetry_space_group_name_H-M 'P 3 m 1'
_symmetry_Int_Tables_number 156
_symmetry_space_group_name_Hall 'P 3 -2"'
loop_
_atom_site_label
_atom_site_type_symbol
_atom_site_fract_x
_atom_site_fract_y
_atom_site_fract_z
_atom_site_occupancy
Mo1 Mo 0.0000 0.0000 0.0000 1
W1 W 0.0000 0.0000 0.3757 1
W2 W 0.6667 0.3333 0.1879 1
W3 W 0.6667 0.3333 0.8121 1
S1 S 0.0000 0.0000 0.1440 1
S2 S 0.0000 0.0000 0.2317 1
S3 S 0.0000 0.0000 0.7682 1
S4 S 0.0000 0.0000 0.8560 1
S5 S 0.6667 0.3333 0.0436 1
S6 S 0.6667 0.3333 0.3319 1
S7 S 0.6667 0.3333 0.4196 1
S8 S 0.6667 0.3333 0.9563 1
```



No. 3
MoW3S8: calculated powder X-ray diffraction pattern (Cu Kα X-rays), based on a DFT-relaxed cell (PBE, the Materials Project).

Peak list (10 most intense, 10 to 80 degrees two-theta, by angle)
2θ 12.34, I = 100, hkl 0 0 5
2θ 14.83, I = 29, hkl 0 0 6
2θ 32.42, I = 20, hkl 1 0 0
2θ 32.79, I = 11, hkl 0 1 2
2θ 33.28, I = 19, hkl 1 0 3
2θ 34.79, I = 13, hkl 1 0 5
2θ 38.26, I = 45, hkl 1 0 8
2θ 46.52, I = 27, hkl 0 1 13
2θ 57.80, I = 14, hkl 1 1 0
2θ 59.33, I = 15, hkl 1 1 5

Atomic structure:
```
data_MoW3S8
_cell_length_a 3.1910
_cell_length_b 3.1910
_cell_length_c 35.8518
_cell_angle_alpha 90.00
_cell_angle_beta 90.00
_cell_angle_gamma 120.00
_symmetry_space_group_name_H-M 'P 3 m 1'
_symmetry_Int_Tables_number 156
_symmetry_space_group_name_Hall 'P 3 -2"'
loop_
_atom_site_label
_atom_site_type_symbol
_atom_site_fract_x
_atom_site_fract_y
_atom_site_fract_z
_atom_site_occupancy
Mo1 Mo 0.0000 0.0000 0.0000 1
W1 W 0.0000 0.0000 0.3758 1
W2 W 0.3333 0.6667 0.1879 1
W3 W 0.3333 0.6667 0.5637 1
S1 S 0.0000 0.0000 0.1440 1
S2 S 0.0000 0.0000 0.2318 1
S3 S 0.0000 0.0000 0.5198 1
S4 S 0.0000 0.0000 0.6075 1
S5 S 0.3333 0.6667 0.0437 1
S6 S 0.3333 0.6667 0.3319 1
S7 S 0.3333 0.6667 0.4196 1
S8 S 0.3333 0.6667 0.9564 1
```



No. 4
Sb7Mo3: calculated powder X-ray diffraction pattern (Cu Kα X-rays), based on a DFT-relaxed cell (PBE, the Materials Project).

Peak list (10 most intense, 10 to 80 degrees two-theta, by angle)
2θ 29.22, I = 36, hkl 3 1 0
2θ 32.08, I = 46, hkl 2 2 2
2θ 34.73, I = 45, hkl 3 2 1
2θ 39.56, I = 100, hkl 3 3 0
2θ 41.80, I = 14, hkl 4 2 0
2θ 46.01, I = 19, hkl 4 2 2
2θ 53.65, I = 15, hkl 4 4 0
2θ 57.19, I = 20, hkl 6 0 0
2θ 62.26, I = 15, hkl 5 4 1
2θ 71.77, I = 38, hkl 6 3 3

Atomic structure:
```
data_Sb7Mo3
_cell_length_a 9.665
_cell_length_b 9.665
_cell_length_c 9.665
_cell_angle_alpha 90.00
_cell_angle_beta 90.00
_cell_angle_gamma 90.00
_symmetry_space_group_name_H-M 'I m -3 m'
_symmetry_Int_Tables_number 229
_symmetry_space_group_name_Hall '-I 4 2 3'
loop_
_atom_site_label
_atom_site_type_symbol
_atom_site_fract_x
_atom_site_fract_y
_atom_site_fract_z
_atom_site_occupancy
Sb1 Sb 0.000 0.250 0.500 1
Sb2 Sb 0.161 0.161 0.161 1
Mo1 Mo 0.000 0.000 0.342 1
```



No. 5
Sb2MoSe: calculated powder X-ray diffraction pattern (Cu Kα X-rays), based on a DFT-relaxed cell (PBE, the Materials Project).

Peak list (10 most intense, 10 to 80 degrees two-theta, by angle)
2θ 27.54, I = 34, hkl 0 2 1
2θ 27.79, I = 74, hkl 2 0 -2
2θ 32.63, I = 37, hkl 1 0 6
2θ 33.18, I = 100, hkl 1 2 -3
2θ 34.24, I = 53, hkl 2 0 4
2θ 36.38, I = 37, hkl 0 2 5
2θ 38.24, I = 33, hkl 1 2 -5
2θ 38.55, I = 38, hkl 2 2 -1
2θ 46.64, I = 66, hkl 1 2 7
2θ 49.53, I = 29, hkl 3 2 -1

Atomic structure:
```
data_Sb2MoSe
_cell_length_a 6.670
_cell_length_b 6.577
_cell_length_c 18.753
_cell_angle_alpha 90.00
_cell_angle_beta 94.29
_cell_angle_gamma 90.00
_symmetry_space_group_name_H-M 'P 1 21/c 1'
_symmetry_Int_Tables_number 14
_symmetry_space_group_name_Hall '-P 2ybc'
loop_
_atom_site_label
_atom_site_type_symbol
_atom_site_fract_x
_atom_site_fract_y
_atom_site_fract_z
_atom_site_occupancy
Sb1 Sb 0.074 0.125 0.074 1
Sb2 Sb 0.074 0.625 0.074 1
Sb3 Sb 0.199 0.098 0.226 1
Sb4 Sb 0.200 0.651 0.226 1
Mo1 Mo 0.326 0.124 0.495 1
Mo2 Mo 0.326 0.625 0.495 1
Se1 Se 0.412 0.126 0.901 1
Se2 Se 0.412 0.625 0.901 1
```



No. 6
ScTc2Mo: calculated powder X-ray diffraction pattern (Cu Kα X-rays), based on a DFT-relaxed cell (PBE, the Materials Project).

Peak list (10 most intense, 10 to 80 degrees two-theta, by angle)
2θ 24.34, I = 6, hkl 1 1 1
2θ 28.18, I = 4, hkl 2 0 0
2θ 40.28, I = 100, hkl 2 2 0
2θ 47.62, I = 3, hkl 3 1 1
2θ 49.88, I = 1, hkl 2 2 2
2θ 58.27, I = 16, hkl 4 0 0
2θ 64.09, I = 1, hkl 3 3 1
2θ 65.96, I = 1, hkl 4 2 0
2θ 73.21, I = 32, hkl 4 2 2
2θ 78.47, I = 1, hkl 5 1 1

Atomic structure:
```
data_ScTc2Mo
_cell_length_a 6.333
_cell_length_b 6.333
_cell_length_c 6.333
_cell_angle_alpha 90.00
_cell_angle_beta 90.00
_cell_angle_gamma 90.00
_symmetry_space_group_name_H-M 'F m -3 m'
_symmetry_Int_Tables_number 225
_symmetry_space_group_name_Hall '-F 4 2 3'
loop_
_atom_site_label
_atom_site_type_symbol
_atom_site_fract_x
_atom_site_fract_y
_atom_site_fract_z
_atom_site_occupancy
Sc1 Sc 0.000 0.000 0.000 1
Tc1 Tc 0.250 0.250 0.250 1
Mo1 Mo 0.000 0.000 0.500 1
```



No. 7
MoSe2: calculated powder X-ray diffraction pattern (Cu Kα X-rays), based on a DFT-relaxed cell (PBE, the Materials Project).

Peak list (10 most intense, 10 to 80 degrees two-theta, by angle)
2θ 11.45, I = 100, hkl 0 0 2
2θ 31.04, I = 27, hkl 1 0 0
2θ 33.19, I = 12, hkl 1 0 2
2θ 35.71, I = 48, hkl 1 0 3
2θ 42.92, I = 62, hkl 1 0 5
2θ 55.22, I = 20, hkl 1 1 0
2θ 56.60, I = 10, hkl 1 1 2
2θ 67.51, I = 7, hkl 2 0 3
2θ 72.37, I = 13, hkl 2 0 5
2θ 75.42, I = 10, hkl 1 1 8

Atomic structure:
```
data_MoSe2
_cell_length_a 3.3269
_cell_length_b 3.3269
_cell_length_c 15.4514
_cell_angle_alpha 90.00
_cell_angle_beta 90.00
_cell_angle_gamma 120.00
_symmetry_space_group_name_H-M 'P 63/m m c'
_symmetry_Int_Tables_number 194
_symmetry_space_group_name_Hall '-P 6c 2c'
loop_
_atom_site_label
_atom_site_type_symbol
_atom_site_fract_x
_atom_site_fract_y
_atom_site_fract_z
_atom_site_occupancy
Mo1 Mo 0.3333 0.6667 0.2500 1
Se1 Se 0.3333 0.6667 0.6418 1
```



No. 8
Mo9Se11: calculated powder X-ray diffraction pattern (Cu Kα X-rays), based on a DFT-relaxed cell (PBE, the Materials Project).

Peak list (10 most intense, 10 to 80 degrees two-theta, by angle)
2θ 12.65, I = 100, hkl 1 1 1
2θ 13.22, I = 47, hkl 0 2 0
2θ 28.08, I = 23, hkl 3 1 2
2θ 31.16, I = 21, hkl 0 4 2
2θ 38.64, I = 44, hkl 5 1 1
2θ 40.43, I = 35, hkl 3 5 0
2θ 44.00, I = 17, hkl 2 6 1
2θ 44.35, I = 51, hkl 3 3 4
2θ 44.95, I = 23, hkl 6 0 0
2θ 45.31, I = 15, hkl 2 2 5

Atomic structure:
```
data_Mo9Se11
_cell_length_a 12.101
_cell_length_b 13.390
_cell_length_c 11.179
_cell_angle_alpha 90.00
_cell_angle_beta 90.00
_cell_angle_gamma 90.00
_symmetry_space_group_name_H-M 'C m c m'
_symmetry_Int_Tables_number 63
_symmetry_space_group_name_Hall '-C 2c 2'
loop_
_atom_site_label
_atom_site_type_symbol
_atom_site_fract_x
_atom_site_fract_y
_atom_site_fract_z
_atom_site_occupancy
Mo1 Mo 0.000 0.147 0.250 1
Mo2 Mo 0.000 0.322 0.128 1
Mo3 Mo 0.190 0.383 0.250 1
Mo4 Mo 0.191 0.210 0.130 1
Se1 Se 0.000 0.154 0.018 1
Se2 Se 0.000 0.488 0.250 1
Se3 Se 0.143 0.229 0.750 1
Se4 Se 0.174 0.382 0.018 1
Se5 Se 0.177 0.043 0.250 1
```



No. 9
MoSe2: calculated powder X-ray diffraction pattern (Cu Kα X-rays), based on a DFT-relaxed cell (PBE, the Materials Project).

Peak list (10 most intense, 10 to 80 degrees two-theta, by angle)
2θ 10.81, I = 100, hkl 0 0 5
2θ 12.99, I = 15, hkl 0 0 6
2θ 31.05, I = 28, hkl 1 0 0
2θ 32.96, I = 11, hkl 1 0 5
2θ 35.77, I = 42, hkl 1 0 8
2θ 42.54, I = 51, hkl 1 0 13
2θ 44.15, I = 14, hkl 0 1 14
2θ 55.23, I = 21, hkl 1 1 0
2θ 56.45, I = 9, hkl 1 1 5
2θ 72.11, I = 10, hkl 0 2 13

Atomic structure:
```
data_MoSe2
_cell_length_a 3.3269
_cell_length_b 3.3269
_cell_length_c 40.9028
_cell_angle_alpha 90.00
_cell_angle_beta 90.00
_cell_angle_gamma 120.00
_symmetry_space_group_name_H-M 'P -3 m 1'
_symmetry_Int_Tables_number 164
_symmetry_space_group_name_Hall '-P 3 2"'
loop_
_atom_site_label
_atom_site_type_symbol
_atom_site_fract_x
_atom_site_fract_y
_atom_site_fract_z
_atom_site_occupancy
Mo1 Mo 0.3333 0.6667 0.0944 1
Mo2 Mo 0.3333 0.6667 0.7167 1
Se1 Se 0.3333 0.6667 0.2424 1
Se2 Se 0.3333 0.6667 0.3242 1
Se3 Se 0.3333 0.6667 0.8647 1
Se4 Se 0.3333 0.6667 0.9465 1
```



No. 10
MoSe2: calculated powder X-ray diffraction pattern (Cu Kα X-rays), based on a DFT-relaxed cell (PBE, the Materials Project).

Peak list (10 most intense, 10 to 80 degrees two-theta, by angle)
2θ 10.43, I = 100, hkl 0 0 3
2θ 13.92, I = 11, hkl 0 0 4
2θ 31.04, I = 18, hkl 1 0 0
2θ 31.24, I = 13, hkl 1 0 1
2θ 32.83, I = 10, hkl 1 0 3
2θ 35.81, I = 34, hkl 1 0 5
2θ 37.74, I = 14, hkl 0 1 6
2θ 42.32, I = 43, hkl 1 0 8
2θ 44.91, I = 17, hkl 0 1 9
2θ 55.22, I = 14, hkl 1 1 0

Atomic structure:
```
data_MoSe2
_cell_length_a 3.3269
_cell_length_b 3.3269
_cell_length_c 25.4514
_cell_angle_alpha 90.00
_cell_angle_beta 90.00
_cell_angle_gamma 120.00
_symmetry_space_group_name_H-M 'P -3 m 1'
_symmetry_Int_Tables_number 164
_symmetry_space_group_name_Hall '-P 3 2"'
loop_
_atom_site_label
_atom_site_type_symbol
_atom_site_fract_x
_atom_site_fract_y
_atom_site_fract_z
_atom_site_occupancy
Mo1 Mo 0.3333 0.6667 0.3482 1
Se1 Se 0.3333 0.6667 0.5861 1
Se2 Se 0.3333 0.6667 0.7175 1
```



No. 11
Mo3Se4: calculated powder X-ray diffraction pattern (Cu Kα X-rays), based on a DFT-relaxed cell (PBE, the Materials Project).

Peak list (10 most intense, 10 to 80 degrees two-theta, by angle)
2θ 13.12, I = 100, hkl 1 0 1
2θ 29.96, I = 19, hkl 1 1 3
2θ 32.01, I = 15, hkl 3 0 0
2θ 32.34, I = 32, hkl 1 2 2
2θ 39.54, I = 35, hkl 1 3 1
2θ 41.17, I = 18, hkl 0 1 5
2θ 41.96, I = 11, hkl 4 -1 2
2θ 44.41, I = 61, hkl 4 -2 3
2θ 50.04, I = 25, hkl 2 3 2
2θ 57.88, I = 15, hkl 5 -2 4

Atomic structure:
```
data_Mo3Se4
_cell_length_a 9.6864
_cell_length_b 9.6864
_cell_length_c 11.3579
_cell_angle_alpha 90.00
_cell_angle_beta 90.00
_cell_angle_gamma 120.00
_symmetry_space_group_name_H-M 'R -3'
_symmetry_Int_Tables_number 148
_symmetry_space_group_name_Hall '-R 3'
loop_
_atom_site_label
_atom_site_type_symbol
_atom_site_fract_x
_atom_site_fract_y
_atom_site_fract_z
_atom_site_occupancy
Mo1 Mo 0.0188 0.8491 0.3954 1
Se1 Se 0.0000 0.0000 0.2164 1
Se2 Se 0.0079 0.6305 0.2491 1
```